The following is a calculated powder X-ray diffraction pattern of Mg3V6Cd2Cu3PbO24. It was derived from DFT lattice parameters and positions (PBE+U), using Cu Kα X-rays.
Intensities are scaled so that the largest is 100.

Crystal structure
```
39
Lattice="7.0833 0.0000 0.0000 -2.3698 8.6738 0.0000 -2.4924 -0.9820 8.5854" Properties=species:S:1:pos:R:3 pbc="T T T"
Mg 0.0000 0.0000 0.0000
Mg -0.3126 6.3895 0.9684
Mg 1.1239 2.1622 5.8999
V -2.3828 1.5654 6.0914
V -0.4368 3.9716 3.4778
V 1.6120 0.5432 2.9116
V 1.1353 -0.6433 8.0112
V 3.1930 6.1181 1.6224
V 2.6970 4.9584 6.6497
Cd -0.8315 4.8181 6.8155
Cd 5.1302 0.8276 2.6245
Cu -0.8043 7.2308 4.6503
Cu 3.3038 3.4683 3.8561
Cu 2.6947 7.0244 4.8928
Pb 1.6192 3.1991 0.7003
O -1.7884 2.8759 3.4774
O -2.5693 0.8654 7.6424
O -2.9917 4.6115 7.6125
O 0.2779 0.9800 1.8705
O -0.1262 4.5353 1.8580
O -0.9638 2.5714 6.2666
O -0.2082 8.4064 0.1823
O -0.7613 5.3233 4.5803
O -0.3138 7.5091 2.7649
O 1.1858 0.4847 4.6262
O -0.9519 7.0867 6.5503
O 0.9560 3.1131 4.0187
O 1.7996 6.0326 0.5408
O 0.9282 1.0074 7.6056
O 2.9257 1.6296 2.5646
O 1.3097 3.9744 6.9511
O 5.0378 0.1676 0.4595
O 3.3238 4.4710 2.1654
O 3.2456 2.4971 5.6008
O 2.8948 7.1824 2.9953
O 3.0613 5.1187 4.8888
O 2.2855 6.6828 6.7552
O 4.9439 0.2624 4.9293
O 4.6558 6.6763 0.8282
```

Largest 12 diffraction maxima, in order of falling intensity, 10 to 90 degrees two-theta:
two_theta  I_rel
27.3  100
31.8  82
31.0  81
31.7  71
25.6  56
32.5  49
14.4  42
27.6  39
15.4  37
52.0  31
16.1  28
30.2  28

=====

The following is a calculated powder X-ray diffraction pattern of Rb8ZrMo6O24. It was derived from DFT lattice parameters and positions (PBE+U), using Cu Kα X-rays.
Intensities are scaled so that the largest is 100.

Crystal structure
```
39
Lattice="5.1265 -9.7186 0.0000 5.1265 9.7186 0.0000 -2.4987 0.0000 7.7270" Properties=species:S:1:pos:R:3 pbc="T T T"
Rb 0.4545 3.4045 4.7458
Rb 5.1265 6.5778 0.0000
Rb 0.8033 0.0000 6.5694
Rb 0.4545 -3.4045 4.7458
Rb 7.2999 3.4045 2.9811
Rb 6.9511 0.0000 1.1576
Rb 5.1265 -6.5778 0.0000
Rb 7.2999 -3.4045 2.9811
Zr 3.8772 0.0000 3.8635
Mo 0.4303 0.0000 2.3005
Mo 3.5097 3.0163 1.6005
Mo 4.2447 3.0163 6.1264
Mo 3.5097 -3.0163 1.6005
Mo 4.2447 -3.0163 6.1264
Mo 7.3241 0.0000 5.4265
O 3.2534 8.2797 5.3277
O 1.9202 3.3710 2.2982
O 4.5010 8.2797 2.3993
O 1.2845 0.0000 0.7554
O 0.8099 2.7911 7.5683
O 3.2279 4.4292 5.7587
O 4.5264 4.4292 1.9682
O 1.7414 0.0000 3.6434
O 4.2109 1.4667 2.3775
O 1.9202 -3.3710 2.2982
O 3.5435 1.4667 5.3494
O 0.8099 -2.7911 7.5683
O 6.9445 2.7911 0.1587
O 4.2109 -1.4667 2.3775
O 5.8342 3.3710 5.4288
O 3.5435 -1.4667 5.3494
O 6.0130 0.0000 4.0836
O 3.2279 -4.4292 5.7587
O 4.5264 -4.4292 1.9682
O 6.9445 -2.7911 0.1587
O 6.4699 0.0000 6.9715
O 3.2534 -8.2797 5.3277
O 5.8342 -3.3710 5.4288
O 4.5010 -8.2797 2.3993
```

Largest 12 diffraction maxima, in order of falling intensity, 10 to 90 degrees two-theta:
two_theta  I_rel
26.0  100
26.1  47
26.7  46
27.5  45
30.6  30
44.8  18
53.4  17
48.7  16
42.0  14
39.1  13
35.1  13
47.7  13